Simulated powder diffraction line list
Compound: SrCaAlO4
Radiation: Cu Ka
Structure: a structure optimized by DFT (GGA-PBE)
No peak broadening, texture or thermal motion is included.

Principal peaks in the range 2θ = 10–90°, by angle:
18.09°, 4.904 Å, I 20; 32.27°, 2.774 Å, I 100; 33.48°, 2.676 Å, I 89; 44.42°, 2.039 Å, I 24; 45.01°, 2.014 Å, I 59; 48.08°, 1.892 Å, I 59; 59.09°, 1.563 Å, I 37; 67.52°, 1.387 Å, I 23

Crystal structure
a = 6.6777 Å, b = 6.6777 Å, c = 5.3527 Å
α = 90.00°, β = 90.00°, γ = 132.74°
Fractional coordinates of all 14 atoms:
Sr (0.1046, 0.8954, 0.7500)
Sr (0.8954, 0.1046, 0.2500)
Ca (0.3912, 0.6088, 0.7500)
Ca (0.6088, 0.3912, 0.2500)
Al (0.2524, 0.7476, 0.2500)
Al (0.7476, 0.2524, 0.7500)
O (0.0000, 0.5000, 0.0000)
O (0.0000, 0.5000, 0.5000)
O (0.0951, 0.9049, 0.2500)
O (0.4134, 0.5866, 0.2500)
O (0.5000, 0.0000, 0.0000)
O (0.5000, 0.0000, 0.5000)
O (0.5866, 0.4134, 0.7500)
O (0.9049, 0.0951, 0.7500)



Simulated powder diffraction line list
Compound: CaAlTc2O8
Radiation: Cu Ka
Structure: a structure optimized by DFT (GGA-PBE)
No peak broadening, texture or thermal motion is included.

Principal peaks in the range 2θ = 10–90°, by angle:
23.01°, 3.865 Å, I 100; 31.74°, 2.819 Å, I 45; 33.77°, 2.654 Å, I 18; 46.99°, 1.934 Å, I 31; 51.59°, 1.772 Å, I 24; 57.83°, 1.594 Å, I 16; 67.45°, 1.388 Å, I 10; 67.99°, 1.379 Å, I 9

Crystal structure
a = 5.6380 Å, b = 5.6380 Å, c = 6.3234 Å
α = 90.00°, β = 90.00°, γ = 120.00°
Fractional coordinates of all 12 atoms:
Ca (0.0000, 0.0000, 0.0000)
Al (0.0000, 0.0000, 0.5000)
Tc (0.3333, 0.6667, 0.7616)
Tc (0.6667, 0.3333, 0.2384)
O (0.1507, 0.3033, 0.6888)
O (0.1526, 0.8493, 0.6888)
O (0.3033, 0.1526, 0.3112)
O (0.3333, 0.6667, 0.0405)
O (0.6667, 0.3333, 0.9595)
O (0.6967, 0.8474, 0.6888)
O (0.8474, 0.1507, 0.3112)
O (0.8493, 0.6967, 0.3112)



Simulated powder diffraction line list
Compound: CaTmAlO4
Radiation: Cu Ka
Structure: a structure optimized by DFT (GGA-PBE)
No peak broadening, texture or thermal motion is included.

Principal peaks in the range 2θ = 10–90°, by angle:
15.04°, 5.892 Å, I 71; 25.51°, 3.492 Å, I 93; 33.48°, 2.676 Å, I 100; 34.69°, 2.586 Å, I 70; 38.00°, 2.368 Å, I 37; 46.75°, 1.943 Å, I 49; 49.88°, 1.828 Å, I 38; 61.41°, 1.510 Å, I 37

Crystal structure
a = 3.6566 Å, b = 3.6566 Å, c = 11.7834 Å
α = 90.00°, β = 90.00°, γ = 90.00°
Fractional coordinates of all 14 atoms:
Ca (0.0000, 0.0000, 0.0000)
Ca (0.5000, 0.5000, 0.5000)
Tm (0.0000, 0.0000, 0.7143)
Tm (0.5000, 0.5000, 0.2143)
Al (0.0000, 0.0000, 0.3593)
Al (0.5000, 0.5000, 0.8593)
O (0.0000, 0.0000, 0.1877)
O (0.0000, 0.0000, 0.5271)
O (0.0000, 0.5000, 0.3479)
O (0.0000, 0.5000, 0.8479)
O (0.5000, 0.0000, 0.3479)
O (0.5000, 0.0000, 0.8479)
O (0.5000, 0.5000, 0.0271)
O (0.5000, 0.5000, 0.6877)